For MgFe2O2F2, a cell relaxed with GGA+U gives the computed powder XRD pattern in this record (Cu Kα (weighted mean of Kα1 and Kα2)).
Intensities are scaled so that the largest is 100.

Peak list (10 most intense, 15° ≤ 2θ ≤ 90°, by intensity)
2θ = 40.45°, d = 2.230 Å, I 100, hkl 0 1 2
2θ = 16.53°, d = 5.362 Å, I 67, hkl 0 0 1
2θ = 42.26°, d = 2.139 Å, I 42, hkl 1 -2 1
2θ = 25.95°, d = 3.434 Å, I 26, hkl 0 1 1
2θ = 35.14°, d = 2.553 Å, I 19, hkl 0 2 0
2θ = 22.00°, d = 4.041 Å, I 18, hkl 0 1 -1
2θ = 17.34°, d = 5.113 Å, I 18, hkl 0 1 0
2θ = 30.10°, d = 2.969 Å, I 16, hkl 1 0 0
2θ = 30.87°, d = 2.897 Å, I 16, hkl 1 -1 0
2θ = 59.54°, d = 1.553 Å, I 16, hkl 1 -1 3

Cell and atoms:
Cell: 3.0641 5.3408 5.4335 Å, 98.90 90.48 104.03°
Atoms (fractional coordinates):
Mg 0.0000 0.0000 0.0000
Fe 0.5284 0.0811 0.4834
Fe 0.7590 0.5454 0.2562
O 0.1154 0.2858 0.3214
O 0.4181 0.8064 0.1577
F 0.5894 0.2182 0.8676
F 0.9235 0.8328 0.6340